# 1
The following is a computed XRD peak list of Ce2PuPaN6. It was derived from a crystal structure in Alexandria, relaxed with GGA-PBE, using Cu Kα (weighted mean of Kα1 and Kα2).

Largest 10 diffraction maxima, in order of falling intensity, 15 to 90 degrees two-theta:
(hkl)	Position (°2θ)	I (rel.)
1 1 1	29.87	100
1 1 -3	30.01	68
2 0 -2	30.64	30
2 2 -2	43.37	26
0 0 4	42.28	16
3 1 -1	53.87	15
0 2 4	52.67	15
3 1 -5	54.18	15
1 1 -1	21.29	13
1 3 -3	53.20	12

Lattice parameters (Å, degrees): 5.835 5.969 10.315 90.00 124.01 90.00
Space group P2_1/c (No. 14)
Inequivalent atoms, fractional coordinates:
Ce1 0.238 0.045 0.250 x4
Pu1 0.000 0.000 0.500 x2
Pa1 0.500 0.000 0.000 x2
N1 0.123 0.198 0.927 x4
N2 0.226 0.688 0.933 x4
N3 0.379 0.059 0.747 x4



# 2
The following is a computed XRD peak list of ThH6Pt4. It was derived from a crystal structure in Alexandria, relaxed with GGA-PBE, using Cu Kα (weighted mean of Kα1 and Kα2).

Largest 10 diffraction maxima, in order of falling intensity, 15 to 90 degrees two-theta:
(hkl)	Position (°2θ)	I (rel.)
-1 1 2	33.57	100
1 0 1	33.34	100
1 -2 1	37.12	72
1 1 -2	36.88	68
0 2 1	45.07	64
1 -2 0	34.08	64
1 1 -1	33.75	62
-2 1 1	40.44	56
0 1 -3	44.13	55
1 0 -2	29.57	45

Lattice parameters (Å, degrees): 4.462 5.384 6.609 96.02 109.67 113.92
Space group P1 (No. 1)
Inequivalent atoms, fractional coordinates:
Th1 0.000 0.000 0.000 x1
H1 0.320 0.766 0.710 x1
H2 0.349 0.969 0.408 x1
H3 0.614 0.564 0.340 x1
H4 0.736 0.457 0.668 x1
H5 0.885 0.265 0.312 x1
H6 0.983 0.041 0.598 x1
Pt1 0.162 0.561 0.879 x1
Pt2 0.445 0.123 0.682 x1
Pt3 0.660 0.902 0.322 x1
Pt4 0.717 0.438 0.130 x1